Computed X-ray powder pattern
Compound: Na4In4Pb
Radiation: Cu Kα
Structure: a crystal structure in Alexandria, relaxed with PBE

Crystal structure
a b c (Å): 7.598 7.598 7.598
angles (deg): 95.46 95.46 144.07
Positions (direct):
Na 0.167 0.167 0.333
Na 0.167 0.833 0.000
Na 0.833 0.167 0.000
Na 0.833 0.833 0.667
In 0.157 0.500 0.657
In 0.500 0.157 0.657
In 0.500 0.843 0.343
In 0.843 0.500 0.343
Pb 0.500 0.500 0.000

Largest 6 diffraction maxima, by intensity, 10 to 90 degrees two-theta:
2θ 32.5, intensity 100; 2θ 37.3, intensity 34; 2θ 17.4, intensity 34; 2θ 20.9, intensity 34; 2θ 64.3, intensity 26; 2θ 54.6, intensity 22